Structure and computed X-ray diffraction stick pattern of PbCl2 (a GGA-PBE-relaxed structure; λ = 1.5418 Å (Cu Kα)).
Lines closer than 0.1° are merged.

Peak list (12 most intense, 10° ≤ 2θ ≤ 80°, by angle)
two_theta  d/Å  intensity
18.2  4.884  100
24.7  3.607  17
25.2  3.541  75
26.2  3.395  37
28.9  3.089  14
31.1  2.874  30
31.8  2.813  22
35.5  2.527  47
40.4  2.231  43
43.0  2.102  36
45.1  2.010  16
45.9  1.976  19

Atomic structure:
```
PbCl2
1.0
2.1602 -9.2668 0.0000
2.1602 9.2668 0.0000
0.0000 0.0000 5.7471
Pb Cl
2 4
Direct
0.1682 0.8318 0.7500
0.8318 0.1682 0.2500
0.2080 0.7920 0.2500
0.4249 0.5751 0.2500
0.5751 0.4249 0.7500
0.7920 0.2080 0.7500
```